[1]
The following is a calculated X-ray powder pattern of RbNa2Sb2H2. It was derived from DFT lattice parameters and positions (GGA-PBE), using Cu Kα (weighted mean of Kα1 and Kα2).

Cell and atoms:
a b c (Å): 8.6722 5.6400 8.9346
angles (deg): 90.00 94.93 90.00
Space group C2/m (No. 12)
Unique sites:
Rb 0.0000 0.0000 0.0000
Na 0.1740 0.5000 0.6299
Sb 0.1855 0.5000 0.2717
H 0.0055 0.5000 0.1655

Main lines, in order of rising 2θ (10 to 80 degrees two-theta):
2θ 19.95, intensity 15, (0 0 2); 2θ 21.71, intensity 100, (1 1 1); 2θ 22.09, intensity 40, (2 0 -1); 2θ 26.87, intensity 25, (1 1 -2); 2θ 27.51, intensity 18, (2 0 -2); 2θ 28.19, intensity 16, (1 1 2); 2θ 30.07, intensity 27, (2 0 2); 2θ 31.73, intensity 31, (0 2 0); 2θ 34.97, intensity 65, (3 1 0); 2θ 39.00, intensity 18, (2 2 -1); 2θ 44.28, intensity 19, (2 2 2); 2θ 58.63, intensity 14, (3 3 0)

***

[2]
The following is a calculated X-ray powder pattern of NdYHg5. It was derived from DFT lattice parameters and positions (GGA-PBE), using Cu Kα (weighted mean of Kα1 and Kα2).

Cell and atoms:
a b c (Å): 6.5194 8.3826 6.9974
angles (deg): 90.00 90.00 90.00
Space group Cmmm (No. 65)
Unique sites:
Nd 0.0000 0.0000 0.0000
Y 0.0000 0.5000 0.5000
Hg 0.0000 0.0000 0.5000
Hg 0.2500 0.2500 0.2415

Main lines, in order of rising 2θ (10 to 80 degrees two-theta):
2θ 17.23, intensity 20, (1 1 0); 2θ 21.20, intensity 13, (0 2 0); 2θ 33.36, intensity 100, (0 2 2); 2θ 34.87, intensity 93, (2 2 0); 2θ 37.72, intensity 72, (2 0 2); 2θ 43.17, intensity 25, (0 4 0); 2θ 43.68, intensity 13, (2 2 2); 2θ 52.30, intensity 14, (0 0 4); 2θ 58.64, intensity 40, (2 4 2); 2θ 64.40, intensity 31, (2 2 4); 2θ 67.18, intensity 27, (4 2 2); 2θ 70.07, intensity 12, (0 4 4)

***

[3]
The following is a calculated X-ray powder pattern of Na2CdSb. It was derived from DFT lattice parameters and positions (GGA-PBE), using Cu Kα (weighted mean of Kα1 and Kα2).

Cell and atoms:
a b c (Å): 8.0398 6.9740 9.3799
angles (deg): 90.00 125.66 90.00
Space group P2_1/c (No. 14)
Unique sites:
Na 0.0007 0.2499 0.0013
Na 0.2625 0.0003 0.3814
Cd 0.2505 0.5011 0.3745
Sb 0.4994 0.7070 0.7404

Main lines, in order of rising 2θ (10 to 80 degrees two-theta):
2θ 13.56, intensity 53, (1 0 0); 2θ 17.24, intensity 54, (1 1 -1); 2θ 23.35, intensity 27, (0 0 2); 2θ 25.92, intensity 20, (1 1 1); 2θ 28.14, intensity 15, (1 2 -1); 2θ 31.98, intensity 100, (1 2 -2); 2θ 33.43, intensity 100, (1 0 2); 2θ 37.73, intensity 73, (2 2 0); 2θ 38.39, intensity 34, (2 0 -4); 2θ 54.92, intensity 42, (4 2 -4); 2θ 63.67, intensity 17, (1 4 2); 2θ 66.27, intensity 34, (5 0 -6)